# 1
Theoretical powder diffractogram of Dy6In6Sn for Cu Kα, 1.54184 Å, from a cell relaxed with GGA-PBE.
No peak broadening, texture or thermal motion is included.

a = 6.3728 Å, b = 6.3728 Å, c = 10.4359 Å
α = 90.00°, β = 90.00°, γ = 120.00°
Space group P6/mmm (No. 191)
One atom of each set of equivalent atoms:
Dy (0.0000, 0.0000, 0.1944)
Dy (0.3333, 0.6667, 0.0000)
Dy (0.3333, 0.6667, 0.5000)
In (0.0000, 0.5000, 0.2480)
Sn (0.0000, 0.0000, 0.5000)

The 10 most intense peaks (10° ≤ 2θ ≤ 80°), sorted by position:
index  two_theta  I (rel.)
1 1 0  28.00  56
1 0 3  30.37  19
2 0 0  32.45  37
1 1 2  32.94  58
0 0 4  34.37  35
2 0 2  36.85  100
3 0 2  52.76  15
2 2 0  57.88  32
1 1 6  60.66  24
2 2 4  69.08  27

***

# 2
Theoretical powder diffractogram of Dy8In3Sn2 for Cu Kα, 1.54184 Å, from a cell relaxed with GGA-PBE.
No peak broadening, texture or thermal motion is included.

a = 10.3222 Å, b = 15.1133 Å, c = 5.0867 Å
α = 90.00°, β = 90.00°, γ = 90.00°
Space group Cmmm (No. 65)
One atom of each set of equivalent atoms:
Dy (0.0000, 0.1176, 0.0000)
Dy (0.0000, 0.3655, 0.0000)
Dy (0.2494, 0.1269, 0.5000)
In (0.0000, 0.5000, 0.5000)
In (0.2460, 0.5000, 0.0000)
Sn (0.0000, 0.2415, 0.5000)

The 10 most intense peaks (10° ≤ 2θ ≤ 80°), sorted by position:
index  two_theta  I (rel.)
2 0 1  24.57  16
2 4 1  34.29  100
4 0 0  34.76  25
0 0 2  35.29  24
0 8 0  48.17  9
4 0 2  50.38  17
4 8 0  60.76  9
6 4 1  62.02  18
2 4 3  62.70  17
4 8 2  72.26  11

***

# 3
Theoretical powder diffractogram of SrDyIn4 for Cu Kα, 1.54184 Å, from a cell relaxed with GGA-PBE.
No peak broadening, texture or thermal motion is included.

a = 8.6836 Å, b = 8.6836 Å, c = 8.6836 Å
α = 90.00°, β = 90.00°, γ = 90.00°
Space group F-43m (No. 216)
One atom of each set of equivalent atoms:
Sr (0.0000, 0.0000, 0.0000)
Dy (0.2500, 0.2500, 0.2500)
In (0.1246, 0.1246, 0.6246)

The 10 most intense peaks (10° ≤ 2θ ≤ 80°), sorted by position:
index  two_theta  I (rel.)
1 1 1  17.69  6
2 2 0  29.09  28
3 1 1  34.25  100
2 2 2  35.82  39
4 2 2  51.56  11
3 3 3  54.94  34
4 4 0  60.29  28
6 2 0  68.32  5
5 3 3  71.21  12
6 2 2  72.16  14

***

# 4
Theoretical powder diffractogram of Tb8Dy2In3 for Cu Kα, 1.54184 Å, from a cell relaxed with GGA-PBE.
No peak broadening, texture or thermal motion is included.

a = 6.4151 Å, b = 6.4151 Å, c = 34.8673 Å
α = 90.00°, β = 90.00°, γ = 120.00°
Space group R-3m (No. 166, hexagonal axes)
One atom of each set of equivalent atoms:
Tb (0.0000, 0.0000, 0.2246)
Tb (0.0005, 0.5002, 0.7197)
Dy (0.0000, 0.0000, 0.1359)
In (0.0000, 0.0000, 0.3108)
In (0.0000, 0.0000, 0.5000)

The 10 most intense peaks (10° ≤ 2θ ≤ 80°), sorted by position:
index  two_theta  I (rel.)
1 1 0  27.81  42
1 1 3  28.88  40
0 1 11  32.52  94
2 0 2  32.64  100
2 0 5  34.76  54
1 1 9  36.36  37
0 2 7  37.06  38
2 0 14  49.15  41
1 2 11  52.26  49
2 2 0  57.46  46

***

# 5
Theoretical powder diffractogram of TbDy3In3 for Cu Kα, 1.54184 Å, from a cell relaxed with GGA-PBE.
No peak broadening, texture or thermal motion is included.

a = 9.3570 Å, b = 9.3570 Å, c = 5.1579 Å
α = 90.00°, β = 90.00°, γ = 120.00°
Space group P6_3/m (No. 176)
One atom of each set of equivalent atoms:
Tb (0.3333, 0.6667, 0.2500)
Dy (0.0020, 0.2337, 0.2500)
In (0.0709, 0.4543, 0.7500)

The 10 most intense peaks (10° ≤ 2θ ≤ 80°), sorted by position:
index  two_theta  I (rel.)
2 0 1  28.00  7
2 1 0  29.16  24
2 1 1  34.04  100
0 0 2  34.79  24
2 1 2  46.01  14
1 4 0  51.69  14
2 3 1  52.31  5
2 1 3  61.89  18
4 2 1  63.35  7
1 4 2  63.82  15

***

# 6
Theoretical powder diffractogram of TbDy5In for Cu Kα, 1.54184 Å, from a cell relaxed with GGA-PBE.
No peak broadening, texture or thermal motion is included.

a = 7.9321 Å, b = 11.5084 Å, c = 6.1497 Å
α = 90.00°, β = 90.00°, γ = 90.00°
Space group Imm2 (No. 44)
One atom of each set of equivalent atoms:
Tb (0.0000, 0.0000, 0.0000)
Dy (0.0000, 0.2533, 0.5904)
Dy (0.0000, 0.5000, 0.2879)
Dy (0.1855, 0.0000, 0.5016)
In (0.0000, 0.5000, 0.7629)

The 10 most intense peaks (10° ≤ 2θ ≤ 80°), sorted by position:
index  two_theta  I (rel.)
0 2 0  15.40  58
1 0 1  18.25  37
2 0 0  22.42  37
1 2 1  23.97  51
2 1 1  27.87  51
0 4 0  31.08  65
1 1 2  32.18  62
1 3 2  39.23  38
3 2 1  40.30  100
3 6 1  61.61  29

***

Q: Which formula does entry 3 have?
A: SrDyIn4

***

Copy entry 5 word for word.
Theoretical powder diffractogram of TbDy3In3 for Cu Kα, 1.54184 Å, from a cell relaxed with GGA-PBE.
No peak broadening, texture or thermal motion is included.

a = 9.3570 Å, b = 9.3570 Å, c = 5.1579 Å
α = 90.00°, β = 90.00°, γ = 120.00°
Space group P6_3/m (No. 176)
One atom of each set of equivalent atoms:
Tb (0.3333, 0.6667, 0.2500)
Dy (0.0020, 0.2337, 0.2500)
In (0.0709, 0.4543, 0.7500)

The 10 most intense peaks (10° ≤ 2θ ≤ 80°), sorted by position:
index  two_theta  I (rel.)
2 0 1  28.00  7
2 1 0  29.16  24
2 1 1  34.04  100
0 0 2  34.79  24
2 1 2  46.01  14
1 4 0  51.69  14
2 3 1  52.31  5
2 1 3  61.89  18
4 2 1  63.35  7
1 4 2  63.82  15